Starting from the GGA+U geometry in the Materials Project, the PXRD pattern of NiSb3P6O24 was calculated for Cu Kα (λ = 1.5418 Å).
Kinematic intensities with the Lorentz-polarization factor, no thermal factor.

Cell and atoms:
```
NiSb3P6O24
1.0
4.324 2.497 7.393
-4.324 2.497 7.393
0.000 -4.993 7.393
Ni Sb P O
1 3 6 24
Direct
0.000 0.000 0.000
0.287 0.287 0.287
0.500 0.500 0.500
0.788 0.788 0.788
0.105 0.686 0.389
0.181 0.611 0.895
0.389 0.105 0.686
0.611 0.895 0.181
0.686 0.389 0.105
0.895 0.181 0.611
0.011 0.627 0.868
0.067 0.203 0.423
0.083 0.862 0.221
0.130 0.508 0.372
0.156 0.776 0.920
0.203 0.423 0.067
0.221 0.083 0.862
0.277 0.655 0.421
0.362 0.582 0.719
0.372 0.130 0.508
0.421 0.277 0.655
0.423 0.067 0.203
0.508 0.372 0.130
0.570 0.926 0.700
0.582 0.719 0.362
0.627 0.868 0.011
0.655 0.421 0.277
0.700 0.570 0.926
0.719 0.362 0.582
0.776 0.920 0.156
0.862 0.221 0.083
0.868 0.011 0.627
0.920 0.156 0.776
0.926 0.700 0.570
```

Largest 12 diffraction maxima, sorted by position, 10° ≤ 2θ ≤ 90°:
2θ 14.3, rel. 430; 2θ 19.9, rel. 1000; 2θ 20.5, rel. 726; 2θ 23.8, rel. 581; 2θ 28.8, rel. 644; 2θ 31.9, rel. 559; 2θ 35.6, rel. 280; 2θ 36.0, rel. 270; 2θ 46.7, rel. 186; 2θ 48.8, rel. 172; 2θ 52.4, rel. 217; 2θ 56.3, rel. 191